Calculated X-ray powder pattern of Sr2CrMoO6 for λ = 1.5418 Å (Cu Kα), from a crystal structure in Alexandria, relaxed with GGA+U.
Intensities are scaled so that the largest is 100.

Crystal structure
abc: 5.6298 5.6298 5.6298
angles: 60.00 60.00 60.00
Fractional positions:
Sr 0.2500 0.2500 0.2500
Sr 0.7500 0.7500 0.7500
Cr 0.0000 0.0000 0.0000
Mo 0.5000 0.5000 0.5000
O 0.2508 0.2508 0.7492
O 0.2508 0.7492 0.2508
O 0.2508 0.7492 0.7492
O 0.7492 0.2508 0.2508
O 0.7492 0.2508 0.7492
O 0.7492 0.7492 0.2508

Most intense lines, 15° ≤ 2θ ≤ 90°, sorted by position:
2theta  I (rel.)
19.31  5
31.79  100
37.46  3
39.20  6
45.57  36
56.63  38
66.42  21
75.52  16
79.92  2
84.26  7